(1)
Calculated X-ray diffraction stick pattern of Li5Co3O8 for Cu Kα, from a DFT-relaxed cell (PBE+U, the Materials Project).
Neutral-atom scattering factors, no anomalous dispersion.

Most intense lines, 2θ = 10–80°, sorted by position:
| two_theta | Rel. int. |
| --- | --- |
| 17.36 | 8.7 |
| 17.92 | 9.6 |
| 18.50 | 100.0 |
| 18.76 | 12.7 |
| 35.16 | 20.9 |
| 36.60 | 22.9 |
| 42.39 | 36.5 |
| 44.51 | 57.2 |
| 62.88 | 8.7 |
| 63.33 | 8.6 |

```
Li5Co3O8
1.0
4.9906 0.0000 0.0000
1.6934 5.5468 0.0000
0.1893 2.9649 5.1080
Li Co O
5 3 8
Cartesian
0.0000 0.0000 0.0000
0.0947 1.4824 2.5540
0.8467 2.7734 0.0000
2.4972 0.7610 1.2763
4.3761 7.7507 3.8317
0.9414 4.2558 2.5540
3.4714 4.9961 3.8772
3.4020 3.5156 1.2308
2.5826 5.1809 1.8635
1.8532 2.6634 1.8903
1.9606 4.0777 4.3419
2.7785 6.6446 4.4396
4.0948 1.8671 0.6685
4.9128 4.4339 0.7661
5.0202 5.8483 3.2178
4.2907 3.3307 3.2445
```

***

(2)
Calculated X-ray diffraction stick pattern of Li4Fe3Ni3Te2O16 for Cu Kα, from a DFT-relaxed cell (PBE+U, the Materials Project).
Neutral-atom scattering factors, no anomalous dispersion.

Most intense lines, 2θ = 10–80°, sorted by position:
| two_theta | Rel. int. |
| --- | --- |
| 19.52 | 100.0 |
| 19.57 | 20.4 |
| 25.18 | 20.5 |
| 32.63 | 22.2 |
| 32.76 | 21.2 |
| 35.34 | 19.1 |
| 35.48 | 38.4 |
| 36.16 | 19.9 |
| 44.93 | 19.4 |
| 62.55 | 28.4 |

```
Li4Fe3Ni3Te2O16
1.0
5.1465 -2.9689 0.0000
5.1465 2.9689 0.0000
-0.0601 0.0000 9.7064
Li Fe Ni Te O
4 3 3 2 16
Cartesian
0.0000 0.0000 0.0000
-0.0208 0.0000 4.8862
3.3939 0.0000 5.6130
6.8408 0.0000 0.7252
4.2235 1.4547 2.6641
4.2235 -1.4547 2.6641
8.4689 0.0000 7.5113
1.7297 0.0000 2.6767
5.9568 1.4487 7.5218
5.9568 -1.4487 7.5218
3.3818 0.0000 0.0164
6.7841 0.0000 4.9059
2.6622 1.3279 1.2994
4.1631 1.4460 8.6948
1.6648 0.0000 8.7065
3.4508 0.0000 3.6734
5.9634 1.4375 3.8593
4.9199 0.0000 1.3043
2.6622 -1.3279 1.2994
5.2819 0.0000 6.1781
7.5909 1.3099 6.1519
4.1631 -1.4460 8.6948
6.8186 0.0000 8.4939
5.9634 -1.4375 3.8593
8.4637 0.0000 3.8311
7.5909 -1.3099 6.1519
10.2332 0.0000 1.8323
10.2127 0.0000 6.7040
```

***

(3)
Calculated X-ray diffraction stick pattern of MnOF for Cu Kα, from a DFT-relaxed cell (PBE+U, the Materials Project).
Neutral-atom scattering factors, no anomalous dispersion.

Most intense lines, 2θ = 10–80°, sorted by position:
| two_theta | Rel. int. |
| --- | --- |
| 27.14 | 100.0 |
| 34.49 | 60.5 |
| 39.72 | 22.7 |
| 46.01 | 11.7 |
| 52.84 | 55.9 |
| 55.97 | 16.9 |
| 58.87 | 11.0 |
| 63.29 | 7.3 |
| 65.99 | 12.9 |
| 67.43 | 17.5 |

```
MnOF
1.0
4.6468 0.0000 0.0000
0.0000 4.6468 0.0000
0.0000 0.0000 6.2749
Mn O F
4 4 4
Cartesian
0.1311 0.1311 0.0000
2.1923 2.4545 1.5687
2.4545 2.1923 4.7062
4.5157 4.5157 3.1375
0.8178 3.8290 1.5687
1.5056 1.5056 0.0000
3.1412 3.1412 3.1375
3.8290 0.8178 4.7062
1.0446 3.6022 4.7062
1.2788 1.2788 3.1375
3.3680 3.3680 0.0000
3.6022 1.0446 1.5687
```

***

(4)
Calculated X-ray diffraction stick pattern of CeMoO4F for Cu Kα, from a DFT-relaxed cell (PBE+U, the Materials Project).
Neutral-atom scattering factors, no anomalous dispersion.

Most intense lines, 2θ = 10–80°, sorted by position:
| two_theta | Rel. int. |
| --- | --- |
| 22.77 | 30.0 |
| 23.65 | 100.0 |
| 24.30 | 72.4 |
| 26.34 | 47.3 |
| 28.11 | 24.0 |
| 29.67 | 47.8 |
| 30.05 | 85.1 |
| 31.25 | 26.8 |
| 40.21 | 27.7 |
| 48.31 | 31.1 |

```
CeMoO4F
1.0
7.0446 0.0000 0.0000
0.0000 6.6216 0.0000
-4.3999 0.0000 9.1450
Ce Mo O F
4 4 16 4
Cartesian
-0.4758 0.8655 3.8725
-2.6758 2.4454 8.4450
5.3205 4.1763 0.7000
3.1205 5.7562 5.2725
-0.5735 4.2125 6.0840
1.6265 5.7199 1.5115
1.0182 0.9017 7.6336
3.2182 2.4091 3.0610
0.8027 4.2463 0.7393
-1.3972 5.6862 5.3118
1.1274 0.6583 0.7951
-1.0725 2.6525 5.3676
-0.7083 4.0247 7.9004
1.4917 5.9077 3.3279
-0.7034 1.0765 7.9785
1.4965 2.2344 3.4060
1.1481 4.3873 5.7390
3.3481 5.5452 1.1665
1.1530 0.7139 5.8171
3.3529 2.5969 1.2446
3.7172 3.9691 3.7774
1.5173 5.9634 8.3499
4.0419 0.9354 3.8332
1.8419 2.3754 8.4057
-3.1638 4.0834 6.7708
-0.9638 5.8491 2.1983
3.6085 0.7725 6.9467
5.8085 2.5383 2.3742
```

***

(5)
Calculated X-ray diffraction stick pattern of ZnCu3Ni4O12 for Cu Kα, from a DFT-relaxed cell (PBE+U, the Materials Project).
Neutral-atom scattering factors, no anomalous dispersion.

Most intense lines, 2θ = 10–80°, sorted by position:
| two_theta | Rel. int. |
| --- | --- |
| 30.23 | 0.6 |
| 35.04 | 100.0 |
| 39.34 | 5.0 |
| 43.27 | 1.4 |
| 46.94 | 2.9 |
| 50.40 | 24.6 |
| 62.86 | 47.1 |
| 74.05 | 11.4 |
| 76.73 | 1.1 |

```
ZnCu3Ni4O12
1.0
-3.6213 3.6213 3.6213
3.6213 -3.6213 3.6213
3.6213 3.6213 -3.6213
Zn Cu Ni O
1 3 4 12
Cartesian
0.0000 0.0000 0.0000
3.6213 0.0000 0.0000
0.0000 3.6213 0.0000
0.0000 0.0000 3.6213
1.8107 1.8107 -1.8107
1.8107 -1.8107 1.8107
-1.8107 1.8107 1.8107
1.8107 1.8107 1.8107
3.6213 2.3945 -1.3933
2.2280 0.0000 1.2268
5.0146 0.0000 1.2268
1.2268 2.2280 0.0000
2.3945 -1.3933 3.6213
0.0000 1.2268 2.2280
3.6213 2.3945 1.3933
1.2268 5.0146 0.0000
2.3945 1.3933 3.6213
-1.3933 3.6213 2.3945
1.3933 3.6213 2.3945
0.0000 1.2268 5.0146
```

***

(6)
Calculated X-ray diffraction stick pattern of Li2MnF4 for Cu Kα, from a DFT-relaxed cell (PBE+U, the Materials Project).
Neutral-atom scattering factors, no anomalous dispersion.

Most intense lines, 2θ = 10–80°, sorted by position:
| two_theta | Rel. int. |
| --- | --- |
| 18.23 | 73.2 |
| 18.36 | 75.0 |
| 20.31 | 58.8 |
| 27.54 | 19.6 |
| 30.68 | 31.3 |
| 33.26 | 100.0 |
| 41.29 | 47.1 |
| 41.69 | 86.2 |
| 59.93 | 31.2 |
| 60.30 | 38.6 |

```
Li2MnF4
1.0
5.2360 0.0000 0.0000
0.0000 6.4782 0.0000
-4.0599 0.0000 9.7350
Li Mn F
8 4 16
Cartesian
-0.8935 0.1155 4.1246
-2.9234 3.1236 8.9921
-0.8877 3.3578 4.1350
-2.9176 6.3594 9.0026
4.0938 0.1187 0.7325
2.0638 3.1204 5.6000
4.0996 3.3546 0.7429
2.0696 6.3627 5.6104
-0.4302 4.7734 7.2958
1.5998 4.9439 2.4283
-0.4236 1.5343 7.3067
1.6063 1.7048 2.4392
0.7722 0.0930 1.2009
-1.2577 3.1461 6.0684
0.7817 3.3127 1.1937
-1.2482 6.4046 6.0612
-2.1872 4.7415 8.3827
-0.1573 4.9758 3.5152
-2.0848 1.5001 8.5435
-0.0549 1.7390 3.6760
1.2310 4.7392 6.0590
3.2609 4.9781 1.1915
1.3334 1.5024 6.2198
3.3633 1.7367 1.3523
2.4243 0.0736 3.6738
0.3944 3.1655 8.5413
2.4339 3.3321 3.6666
0.4039 6.3852 8.5341
```

***

(7)
Calculated X-ray diffraction stick pattern of Li2MnP2O7 for Cu Kα, from a DFT-relaxed cell (PBE+U, the Materials Project).
Neutral-atom scattering factors, no anomalous dispersion.

Most intense lines, 2θ = 10–80°, sorted by position:
| two_theta | Rel. int. |
| --- | --- |
| 15.87 | 100.0 |
| 17.67 | 61.7 |
| 21.49 | 97.9 |
| 23.34 | 29.2 |
| 26.14 | 56.3 |
| 26.62 | 32.6 |
| 28.01 | 58.9 |
| 28.14 | 49.4 |
| 28.42 | 45.4 |
| 37.68 | 30.5 |

```
Li2MnP2O7
1.0
5.1097 0.0000 0.0000
-2.3118 6.7293 0.0000
-0.4354 -0.9479 8.5997
Li Mn P O
4 2 4 14
Cartesian
0.0000 0.0000 0.0000
-1.4728 3.2845 6.2151
1.7662 -0.1957 4.1159
2.1650 1.7814 1.4989
1.7710 0.3698 7.0325
3.3479 4.1831 2.8198
-0.4424 2.9037 0.1185
0.9494 2.7237 4.5347
0.7082 5.5814 1.0414
2.0310 5.3785 5.5110
-2.1836 5.5295 6.7553
-0.4895 3.2371 4.5100
0.7795 1.9554 0.0823
0.0869 4.4383 0.0333
-0.1475 5.6254 2.3090
1.1339 1.3844 5.2422
1.6718 2.7575 3.1803
2.8974 0.1556 0.2238
0.6744 6.0567 5.5911
1.7822 3.7479 5.5417
2.1887 5.2649 1.2321
3.3709 1.8295 7.4578
3.8851 2.7152 1.4121
2.7844 5.6612 4.2152
```